Theoretical X-ray diffraction stick pattern
Compound: MgZr5In6
Radiation: Cu Kα (λ = 1.5418 Å)
Structure: a cell relaxed with PBE

Structure:
a b c (Å): 15.3927 6.2847 5.4826
angles (deg): 90.00 90.08 90.00
Space group C2/m (No. 12)
Symmetry-distinct sites (fractional):
Mg 0.0000 0.0000 0.0000 (multiplicity 2)
Zr 0.0000 0.5000 0.0000 (multiplicity 2)
Zr 0.1640 0.0000 0.3187 (multiplicity 4)
Zr 0.1682 0.5000 0.3338 (multiplicity 4)
In 0.0000 0.2496 0.5000 (multiplicity 4)
In 0.1659 0.2496 0.8295 (multiplicity 8)

Most intense lines, 15 to 90 degrees two-theta, sorted by position:
2θ (°), intensity, index
34.8, 33, 2 0 2
34.9, 100, 6 0 0
40.4, 22, 4 0 -2
40.6, 44, 4 2 1
58.4, 14, 0 2 3
58.7, 21, 0 4 0
69.9, 16, 6 2 -3
70.1, 12, 10 0 -2
70.2, 16, 6 4 0
73.7, 7, 4 4 -2